SrLi3MoN3: simulated powder X-ray diffraction pattern (a wavelength of 1.5418 Å), based on a structure optimized by DFT (GGA-PBE).

Structure:
abc: 7.4234 7.4234 7.4234
angles: 47.09 47.09 47.09
Fractional coordinates of all 16 atoms:
Sr 0.1618 0.1618 0.1618
Sr 0.8382 0.8382 0.8382
Li 0.0301 0.6065 0.2609
Li 0.2609 0.0301 0.6065
Li 0.3935 0.7392 0.9699
Li 0.6065 0.2609 0.0301
Li 0.7392 0.9699 0.3935
Li 0.9699 0.3935 0.7392
Mo 0.4343 0.4343 0.4343
Mo 0.5657 0.5657 0.5657
N 0.1031 0.7132 0.4017
N 0.2868 0.5983 0.8969
N 0.4017 0.1031 0.7132
N 0.5983 0.8969 0.2868
N 0.7132 0.4017 0.1031
N 0.8969 0.2868 0.5983

Largest 10 diffraction maxima, by angle, 10 to 90 degrees two-theta:
d 6.586, 13.44 deg, rel. 78
d 4.971, 17.84 deg, rel. 30
d 3.561, 25.01 deg, rel. 23
d 3.132, 28.50 deg, rel. 28
d 2.966, 30.13 deg, rel. 93
d 2.704, 33.13 deg, rel. 100
d 2.474, 36.32 deg, rel. 56
d 2.226, 40.53 deg, rel. 25
d 1.712, 53.52 deg, rel. 36
d 1.600, 57.62 deg, rel. 26